Record 1
Diffraction record for Rb4MgV2Ag2S8. The powder X-ray diffraction pattern is calculated, not measured: it uses a structure optimized by DFT (PBE) and copper Kα.
Intensities are scaled so that the largest is 100.

```
data_Rb4MgV2Ag2S8
_chemical_formula_sum 'Rb4 Mg1 V2 Ag2 S8'
_cell_length_a 5.8745
_cell_length_b 7.1090
_cell_length_c 13.4678
_cell_angle_alpha 86.91
_cell_angle_beta 82.54
_cell_angle_gamma 65.63
_space_group_name_H-M_alt 'P 1'
_space_group_IT_number 1
loop_
_space_group_symop_operation_xyz
'x,y,z'
loop_
_atom_site_label
_atom_site_type_symbol
_atom_site_fract_x
_atom_site_fract_y
_atom_site_fract_z
Rb1 Rb 0.0000 0.0000 0.0000
Rb2 Rb 0.0134 0.4701 0.1658
Rb3 Rb 0.4085 0.4703 0.4404
Rb4 Rb 0.8913 0.9997 0.6060
Mg1 Mg 0.4694 0.9521 0.8030
V1 V 0.2047 0.4822 0.8028
V2 V 0.9544 0.9832 0.3031
Ag1 Ag 0.4613 0.9694 0.3031
Ag2 Ag 0.7505 0.3900 0.8029
S1 S 0.0361 0.1884 0.3956
S2 S 0.1919 0.2415 0.6982
S3 S 0.2851 0.7819 0.2038
S4 S 0.3812 0.6826 0.7173
S5 S 0.4576 0.2416 0.9077
S6 S 0.6676 0.1884 0.2104
S7 S 0.8249 0.7817 0.4023
S8 S 0.8283 0.6830 0.8880
```

Top 6 peaks for 15 to 90 degrees two-theta, in order of rising 2θ:
| 2θ/deg | I_rel | hkl |
| --- | --- | --- |
| 15.21 | 31 | 0 1 1 |
| 24.26 | 100 | 0 1 3 |
| 27.06 | 24 | 1 2 -1 |
| 28.06 | 61 | 1 -1 2 |
| 33.61 | 35 | 2 2 1 |
| 38.28 | 26 | 2 1 4 |

Record 2
Diffraction record for Rb4MgV2Ag2S8. The powder X-ray diffraction pattern is calculated, not measured: it uses a structure optimized by DFT (PBE) and copper Kα.
Intensities are scaled so that the largest is 100.

```
data_Rb4MgV2Ag2S8
_chemical_formula_sum 'Rb4 Mg1 V2 Ag2 S8'
_cell_length_a 6.1317
_cell_length_b 7.4087
_cell_length_c 11.9580
_cell_angle_alpha 83.96
_cell_angle_beta 75.54
_cell_angle_gamma 66.46
_space_group_name_H-M_alt 'P 1'
_space_group_IT_number 1
loop_
_space_group_symop_operation_xyz
'x,y,z'
loop_
_atom_site_label
_atom_site_type_symbol
_atom_site_fract_x
_atom_site_fract_y
_atom_site_fract_z
Rb1 Rb 0.0000 0.0000 0.0000
Rb2 Rb 0.0525 0.5482 0.7461
Rb3 Rb 0.3582 0.0448 0.2581
Rb4 Rb 0.7159 0.5092 0.4673
Mg1 Mg 0.5407 0.0351 0.8569
V1 V 0.1706 0.0339 0.6232
V2 V 0.9065 0.5233 0.1021
Ag1 Ag 0.4162 0.5163 0.0935
Ag2 Ag 0.6872 0.0197 0.5713
S1 S 0.1321 0.8407 0.5066
S2 S 0.2606 0.3277 0.9805
S3 S 0.3041 0.2459 0.5136
S4 S 0.4347 0.8496 0.7332
S5 S 0.6458 0.7520 0.9999
S6 S 0.7420 0.3282 0.2066
S7 S 0.8108 0.1930 0.7455
S8 S 0.9837 0.6871 0.2188
```

Top 6 peaks for 15 to 90 degrees two-theta, in order of rising 2θ:
| 2θ/deg | I_rel | hkl |
| --- | --- | --- |
| 15.11 | 62 | 0 1 1 |
| 15.30 | 85 | 0 0 2 |
| 26.24 | 64 | 0 2 0 |
| 26.49 | 81 | 0 1 3 |
| 27.24 | 100 | 1 2 -1 |
| 31.84 | 59 | 2 0 1 |

Record 3
Diffraction record for MgAgSb. The powder X-ray diffraction pattern is calculated, not measured: it uses a structure optimized by DFT (PBE) and copper Kα.
Intensities are scaled so that the largest is 100.

```
data_MgAgSb
_chemical_formula_sum 'Mg4 Ag4 Sb4'
_cell_length_a 6.5688
_cell_length_b 6.5688
_cell_length_c 6.5688
_cell_angle_alpha 90.00
_cell_angle_beta 90.00
_cell_angle_gamma 90.00
_space_group_name_H-M_alt 'F -4 3 m'
_space_group_IT_number 216
_space_group_name_Hall 'F -4 2 3'
loop_
_atom_site_label
_atom_site_type_symbol
_atom_site_fract_x
_atom_site_fract_y
_atom_site_fract_z
Mg1 Mg 0.0000 0.0000 0.0000
Ag1 Ag 0.2500 0.2500 0.7500
Sb1 Sb 0.0000 0.0000 0.5000
```

Top 6 peaks for 15 to 90 degrees two-theta, in order of rising 2θ:
| 2θ/deg | I_rel | hkl |
| --- | --- | --- |
| 23.46 | 81 | 1 1 1 |
| 38.77 | 100 | 2 2 0 |
| 45.81 | 40 | 3 1 1 |
| 56.00 | 17 | 4 0 0 |
| 61.54 | 16 | 3 3 1 |
| 70.19 | 33 | 4 2 2 |

Record 4
Diffraction record for MgAgSb. The powder X-ray diffraction pattern is calculated, not measured: it uses a structure optimized by DFT (PBE) and copper Kα.
Intensities are scaled so that the largest is 100.

```
data_MgAgSb
_chemical_formula_sum 'Mg16 Ag16 Sb16'
_cell_length_a 9.2582
_cell_length_b 9.2582
_cell_length_c 12.9605
_cell_angle_alpha 90.00
_cell_angle_beta 90.00
_cell_angle_gamma 90.00
_space_group_name_H-M_alt 'I -4 c 2'
_space_group_IT_number 120
_space_group_name_Hall 'I -4 -2c'
loop_
_atom_site_label
_atom_site_type_symbol
_atom_site_fract_x
_atom_site_fract_y
_atom_site_fract_z
Mg1 Mg 0.0279 0.2157 0.3562
Ag1 Ag 0.0000 0.5000 0.0000
Ag2 Ag 0.0000 0.5000 0.2500
Ag3 Ag 0.2196 0.2804 0.0000
Sb1 Sb 0.0280 0.2343 0.6319
```

Top 6 peaks for 15 to 90 degrees two-theta, in order of rising 2θ:
| 2θ/deg | I_rel | hkl |
| --- | --- | --- |
| 23.62 | 77 | 2 0 2 |
| 30.56 | 31 | 3 1 0 |
| 30.79 | 20 | 1 1 4 |
| 38.91 | 44 | 4 0 0 |
| 39.12 | 100 | 2 2 4 |
| 40.81 | 25 | 4 1 1 |